Na4Th3RhSe8: theoretical powder XRD pattern (Cu Kα (weighted mean of Kα1 and Kα2)), based on a GGA-PBE-relaxed structure.
No peak broadening, texture or thermal motion is included.

Structural model:
```
data_Na4Th3RhSe8
_symmetry_space_group_name_H-M 'C 1 2/m 1'
_symmetry_Int_Tables_number 12
_cell_length_a 15.032
_cell_length_b 7.949
_cell_length_c 8.609
_cell_angle_alpha 90.00
_cell_angle_beta 123.40
_cell_angle_gamma 90.00
loop_
_symmetry_equiv_pos_as_xyz
'x,y,z'
'-x,-y,-z'
'-x,y,-z'
'x,-y,z'
'x+1/2,y+1/2,z'
'-x+1/2,-y+1/2,-z'
'-x+1/2,y+1/2,-z'
'x+1/2,-y+1/2,z'
loop_
_atom_site_label
_atom_site_fract_x
_atom_site_fract_y
_atom_site_fract_z
Na1 0.000 0.000 0.000
Na2 0.000 0.500 0.000
Na3 0.250 0.250 0.000
Th1 0.000 0.000 0.500
Th2 0.250 0.250 0.500
Rh1 0.000 0.500 0.500
Se1 0.013 0.279 0.294
Se2 0.222 0.000 0.230
Se3 0.236 0.000 0.739
```

Top 10 peaks for 2θ = 15–90°, in order of rising 2θ:
- (4 0 -1), 23.90 deg, d 3.723, rel. 21
- (2 2 -1), 25.77 deg, d 3.457, rel. 27
- (4 0 0), 28.45 deg, d 3.137, rel. 59
- (2 2 -2), 30.62 deg, d 2.920, rel. 100
- (2 2 -3), 39.24 deg, d 2.296, rel. 18
- (2 2 2), 41.88 deg, d 2.157, rel. 38
- (4 0 -4), 41.99 deg, d 2.152, rel. 20
- (6 2 -2), 42.69 deg, d 2.118, rel. 40
- (0 4 0), 45.65 deg, d 1.987, rel. 16
- (4 4 0), 54.67 deg, d 1.679, rel. 17

Na2Si7Rh12: theoretical powder XRD pattern (Cu Kα (weighted mean of Kα1 and Kα2)), based on a GGA-PBE-relaxed structure.
No peak broadening, texture or thermal motion is included.

Structural model:
```
data_Na2Si7Rh12
_symmetry_space_group_name_H-M 'P -6'
_symmetry_Int_Tables_number 174
_cell_length_a 9.6513
_cell_length_b 9.6513
_cell_length_c 3.8640
_cell_angle_alpha 90.00
_cell_angle_beta 90.00
_cell_angle_gamma 120.00
loop_
_symmetry_equiv_pos_as_xyz
'x,y,z'
'-x+y,-x,-z'
'-y,x-y,z'
'x,y,-z'
'-x+y,-x,z'
'-y,x-y,-z'
loop_
_atom_site_label
_atom_site_fract_x
_atom_site_fract_y
_atom_site_fract_z
Na1 0.0000 0.0000 0.0000
Na2 0.3333 0.6667 0.5000
Si1 0.0716 0.4433 0.0000
Si2 0.2686 0.2268 0.5000
Si3 0.6667 0.3333 0.0000
Rh1 0.0532 0.2795 0.5000
Rh2 0.1047 0.7030 0.0000
Rh3 0.3890 0.1790 0.0000
Rh4 0.5470 0.4288 0.5000
```

Top 10 peaks for 2θ = 15–90°, in order of rising 2θ:
- (1 1 0), 18.39 deg, d 4.826, rel. 22
- (2 1 0), 28.25 deg, d 3.159, rel. 13
- (2 1 1), 36.75 deg, d 2.446, rel. 100
- (3 0 1), 39.89 deg, d 2.260, rel. 12
- (4 0 0), 43.30 deg, d 2.090, rel. 13
- (1 3 1), 45.64 deg, d 1.988, rel. 33
- (0 0 2), 47.03 deg, d 1.932, rel. 22
- (3 2 0), 47.41 deg, d 1.918, rel. 21
- (1 4 0), 50.01 deg, d 1.824, rel. 16
- (3 2 2), 69.01 deg, d 1.361, rel. 14

NaSn8Rh2: theoretical powder XRD pattern (Cu Kα (weighted mean of Kα1 and Kα2)), based on a GGA-PBE-relaxed structure.
No peak broadening, texture or thermal motion is included.

Structural model:
```
data_NaSn8Rh2
_symmetry_space_group_name_H-M 'P 4/m m m'
_symmetry_Int_Tables_number 123
_symmetry_space_group_name_Hall '-P 4 2'
_cell_length_a 6.625
_cell_length_b 6.625
_cell_length_c 6.345
_cell_angle_alpha 90.00
_cell_angle_beta 90.00
_cell_angle_gamma 90.00
loop_
_atom_site_label
_atom_site_fract_x
_atom_site_fract_y
_atom_site_fract_z
Na1 0.000 0.000 0.000
Sn1 0.270 0.270 0.253
Rh1 0.000 0.500 0.500
```

Top 10 peaks for 2θ = 15–90°, in order of rising 2θ:
- (1 1 1), 23.61 deg, d 3.769, rel. 15
- (2 0 0), 26.91 deg, d 3.313, rel. 48
- (0 0 2), 28.13 deg, d 3.172, rel. 23
- (2 2 0), 38.43 deg, d 2.342, rel. 51
- (2 0 2), 39.32 deg, d 2.291, rel. 100
- (2 2 2), 48.30 deg, d 1.884, rel. 19
- (4 0 0), 55.48 deg, d 1.656, rel. 16
- (4 2 2), 70.11 deg, d 1.342, rel. 30
- (2 2 4), 71.89 deg, d 1.313, rel. 17
- (4 0 4), 84.59 deg, d 1.146, rel. 10

Na3Sr7Rh2: theoretical powder XRD pattern (Cu Kα (weighted mean of Kα1 and Kα2)), based on a GGA-PBE-relaxed structure.
No peak broadening, texture or thermal motion is included.

Structural model:
```
data_Na3Sr7Rh2
_symmetry_space_group_name_H-M 'C m m m'
_symmetry_Int_Tables_number 65
_symmetry_space_group_name_Hall '-C 2 2'
_cell_length_a 5.936
_cell_length_b 29.356
_cell_length_c 5.917
_cell_angle_alpha 90.00
_cell_angle_beta 90.00
_cell_angle_gamma 90.00
loop_
_atom_site_label
_atom_site_fract_x
_atom_site_fract_y
_atom_site_fract_z
Na1 0.000 0.000 0.000
Na2 0.000 0.203 0.000
Sr1 0.000 0.101 0.500
Sr2 0.000 0.301 0.500
Sr3 0.000 0.400 0.000
Sr4 0.000 0.500 0.500
Rh1 0.000 0.398 0.500
```

Top 10 peaks for 2θ = 15–90°, in order of rising 2θ:
- (1 1 0), 15.23 deg, d 5.818, rel. 49
- (1 5 1), 26.13 deg, d 3.411, rel. 81
- (2 0 0), 30.16 deg, d 2.963, rel. 100
- (0 10 0), 30.45 deg, d 2.936, rel. 48
- (2 4 0), 32.59 deg, d 2.748, rel. 16
- (0 10 1), 34.05 deg, d 2.633, rel. 28
- (2 0 2), 43.17 deg, d 2.095, rel. 39
- (2 10 0), 43.39 deg, d 2.085, rel. 72
- (2 10 2), 53.75 deg, d 1.705, rel. 38
- (2 0 4), 71.21 deg, d 1.324, rel. 16

Repeat the first record exactly.
Na4Th3RhSe8: theoretical powder XRD pattern (Cu Kα (weighted mean of Kα1 and Kα2)), based on a GGA-PBE-relaxed structure.
No peak broadening, texture or thermal motion is included.

Structural model:
```
data_Na4Th3RhSe8
_symmetry_space_group_name_H-M 'C 1 2/m 1'
_symmetry_Int_Tables_number 12
_cell_length_a 15.032
_cell_length_b 7.949
_cell_length_c 8.609
_cell_angle_alpha 90.00
_cell_angle_beta 123.40
_cell_angle_gamma 90.00
loop_
_symmetry_equiv_pos_as_xyz
'x,y,z'
'-x,-y,-z'
'-x,y,-z'
'x,-y,z'
'x+1/2,y+1/2,z'
'-x+1/2,-y+1/2,-z'
'-x+1/2,y+1/2,-z'
'x+1/2,-y+1/2,z'
loop_
_atom_site_label
_atom_site_fract_x
_atom_site_fract_y
_atom_site_fract_z
Na1 0.000 0.000 0.000
Na2 0.000 0.500 0.000
Na3 0.250 0.250 0.000
Th1 0.000 0.000 0.500
Th2 0.250 0.250 0.500
Rh1 0.000 0.500 0.500
Se1 0.013 0.279 0.294
Se2 0.222 0.000 0.230
Se3 0.236 0.000 0.739
```

Top 10 peaks for 2θ = 15–90°, in order of rising 2θ:
- (4 0 -1), 23.90 deg, d 3.723, rel. 21
- (2 2 -1), 25.77 deg, d 3.457, rel. 27
- (4 0 0), 28.45 deg, d 3.137, rel. 59
- (2 2 -2), 30.62 deg, d 2.920, rel. 100
- (2 2 -3), 39.24 deg, d 2.296, rel. 18
- (2 2 2), 41.88 deg, d 2.157, rel. 38
- (4 0 -4), 41.99 deg, d 2.152, rel. 20
- (6 2 -2), 42.69 deg, d 2.118, rel. 40
- (0 4 0), 45.65 deg, d 1.987, rel. 16
- (4 4 0), 54.67 deg, d 1.679, rel. 17

> What is the formula in the third record?

NaSn8Rh2

> Which formula does entry 3 have?

NaSn8Rh2